(1)
# LiZr2H4
Calculated powder XRD pattern, copper Kα. Input: a crystal structure in Alexandria, relaxed with GGA-PBE.

Atomic structure:
a b c (Å): 8.638 8.619 6.179
angles (deg): 90.00 134.24 90.00
Space group C2/c (No. 15)
Asymmetric unit:
Li 0.000 0.124 0.250 (multiplicity 4)
Zr 0.000 0.500 0.000 (multiplicity 4)
Zr 0.250 0.250 0.000 (multiplicity 4)
H 0.006 0.254 0.523 (multiplicity 8)
H 0.234 0.495 0.977 (multiplicity 8)

Most intense lines, 2θ = 5–70°, by intensity:
Position (°2θ)	d [Å]	I_rel	index
17.7	5.024	100	1 1 0
35.7	2.512	67	2 2 0
34.4	2.608	43	1 3 0
41.9	2.157	23	0 4 0
33.7	2.657	22	1 1 1
59.9	1.544	12	0 4 2
45.3	2.004	12	3 1 0
40.8	2.213	12	0 0 2
45.8	1.982	8	3 3 -2
60.7	1.525	8	4 4 -2

---

(2)
# Nd3Dy7Th2
Calculated powder XRD pattern, copper Kα. Input: a crystal structure in Alexandria, relaxed with GGA-PBE.

Atomic structure:
a b c (Å): 3.591 6.223 17.762
angles (deg): 99.96 95.77 90.00
Space group P-1 (No. 2)
Asymmetric unit:
Nd 0.000 0.000 0.000 (multiplicity 1)
Nd 0.335 0.665 0.666 (multiplicity 2)
Dy 0.085 0.422 0.167 (multiplicity 2)
Dy 0.250 0.242 0.503 (multiplicity 2)
Dy 0.413 0.086 0.831 (multiplicity 2)
Dy 0.500 0.500 0.000 (multiplicity 1)
Th 0.167 0.832 0.333 (multiplicity 2)

Most intense lines, 2θ = 5–70°, by intensity:
Position (°2θ)	d [Å]	I_rel	index
30.5	2.929	100	0 2 1
35.5	2.530	67	1 1 3
30.8	2.900	32	0 0 6
50.8	1.796	24	2 0 -1
51.3	1.782	16	1 1 -9
60.5	1.531	14	2 2 0
60.6	1.528	14	2 0 5
60.7	1.526	14	2 0 -7
61.0	1.519	9	1 1 9
63.5	1.465	8	0 4 2

---

(3)
# Hf2NpPbO8
Calculated powder XRD pattern, copper Kα. Input: a crystal structure in Alexandria, relaxed with GGA-PBE.

Atomic structure:
a b c (Å): 7.111 7.257 6.755
angles (deg): 90.00 90.00 90.00
Space group Cmmm (No. 65)
Asymmetric unit:
Hf 0.000 0.000 0.246 (multiplicity 4)
Np 0.000 0.500 0.500 (multiplicity 2)
Pb 0.000 0.500 0.000 (multiplicity 2)
O 0.000 0.169 0.000 (multiplicity 4)
O 0.000 0.196 0.500 (multiplicity 4)
O 0.207 0.500 0.290 (multiplicity 8)

Most intense lines, 2θ = 5–70°, by intensity:
Position (°2θ)	d [Å]	I_rel	index
31.8	2.812	100	1 1 2
24.5	3.628	57	0 2 0
25.0	3.556	53	2 0 0
48.0	1.895	40	1 3 2
48.6	1.874	36	3 1 2
35.3	2.540	32	2 2 0
61.2	1.514	22	3 3 2
66.5	1.406	12	2 2 4
57.7	1.596	10	4 2 0
60.7	1.525	10	2 0 4